Structure and simulated X-ray diffraction stick pattern of Eu6Tl (a crystal structure in Alexandria, relaxed with GGA-PBE; Cu Kα (weighted mean of Kα1 and Kα2)).

Largest 10 diffraction maxima, sorted by position, 10° ≤ 2θ ≤ 90°:
two_theta  I/Imax
18.75  40
23.02  100
32.78  28
35.48  67
38.03  34
42.72  20
44.92  17
52.99  21
54.87  23
60.27  22

Structural model:
```
7
Lattice="-4.733 4.733 4.733 4.733 -4.733 4.733 4.733 4.733 -4.733" Properties=species:S:1:pos:R:3 pbc="T T T"
Eu 4.733 2.366 0.000
Eu 4.733 0.000 2.366
Eu 2.366 4.733 0.000
Eu 2.366 0.000 4.733
Eu 0.000 4.733 2.366
Eu 0.000 2.366 4.733
Tl 0.000 0.000 0.000
```